Calculated X-ray diffraction stick pattern of Bi5Se8 for Cu Kα (λ = 1.5418 Å), from a DFT-relaxed cell (GGA-PBE, Alexandria).
Peak positions follow from Bragg's law for the DFT cell and can differ from measured ones.

a b c (Å): 12.1699 12.1699 12.1699
angles (deg): 90.00 90.00 90.00
Space group F-43m (No. 216)
Asymmetric unit:
Bi (0.0000, 0.0000, 0.0000) (multiplicity 4)
Bi (0.1162, 0.1162, 0.3838) (multiplicity 16)
Se (0.1194, 0.1194, 0.6194) (multiplicity 16)
Se (0.1308, 0.1308, 0.1308) (multiplicity 16)

Most intense lines, 2θ from 10° to 90°, in order of rising 2θ:
12.60 deg, rel. 456; 24.26 deg, rel. 951; 29.36 deg, rel. 759; 38.44 deg, rel. 562; 42.00 deg, rel. 1000; 76.73 deg, rel. 308